(1)
Diffraction record for ErPa3C4. The powder diffraction line list is theoretical, not measured: it uses a crystal structure in Alexandria, relaxed with PBE and Cu Kα X-rays.
Intensities are scaled so that the largest is 100.

Most intense lines, 5 to 70 degrees two-theta, in order of rising 2θ:
2θ/deg, I/Imax, h k l
17.50, 2, 1 0 0
24.85, 1, 1 1 0
30.55, 100, 1 1 1
35.43, 63, 2 0 0
39.77, 1, 2 1 0
43.76, 1, 2 1 1
50.97, 45, 2 2 0
60.60, 46, 3 1 1
63.60, 15, 2 2 2

Structural model:
```
data_ErPa3C4
_chemical_formula_sum 'Er1 Pa3 C4'
_symmetry_space_group_name_H-M 'P m -3 m'
_symmetry_Int_Tables_number 221
_symmetry_space_group_name_Hall '-P 4 2 3'
_cell_length_a 5.0676
_cell_length_b 5.0676
_cell_length_c 5.0676
_cell_angle_alpha 90.00
_cell_angle_beta 90.00
_cell_angle_gamma 90.00
loop_
_atom_site_label
_atom_site_type_symbol
_atom_site_fract_x
_atom_site_fract_y
_atom_site_fract_z
Er1 Er 0.0000 0.0000 0.0000
Pa1 Pa 0.0000 0.5000 0.5000
C1 C 0.0000 0.0000 0.5000
C2 C 0.5000 0.5000 0.5000
```

***

(2)
Diffraction record for Er2PaC2. The powder diffraction line list is theoretical, not measured: it uses a crystal structure in Alexandria, relaxed with PBE and Cu Kα X-rays.
Intensities are scaled so that the largest is 100.

Most intense lines, 5 to 70 degrees two-theta, in order of rising 2θ:
2θ/deg, I/Imax, h k l
9.75, 28, 0 0 3
29.05, 32, 1 0 1
29.54, 45, 0 0 9
31.77, 100, 1 0 4
33.31, 69, 0 1 5
39.36, 41, 0 1 8
51.13, 36, 1 1 0
52.79, 33, 1 0 13
60.16, 35, 1 1 9
61.47, 16, 0 2 4

Structural model:
```
data_Er2PaC2
_chemical_formula_sum 'Er6 Pa3 C6'
_symmetry_space_group_name_H-M 'R -3 m'
_symmetry_Int_Tables_number 166
_symmetry_space_group_name_Hall '-R 3 2"'
_cell_length_a 3.5726
_cell_length_b 3.5726
_cell_length_c 27.2210
_cell_angle_alpha 90.00
_cell_angle_beta 90.00
_cell_angle_gamma 120.00
loop_
_atom_site_label
_atom_site_type_symbol
_atom_site_fract_x
_atom_site_fract_y
_atom_site_fract_z
Er1 Er 0.0000 0.0000 0.2302
Pa1 Pa 0.0000 0.0000 0.0000
C1 C 0.0000 0.0000 0.3872
```

***

(3)
Diffraction record for ErPa2TcC4. The powder diffraction line list is theoretical, not measured: it uses a crystal structure in Alexandria, relaxed with PBE and Cu Kα X-rays.
Intensities are scaled so that the largest is 100.

Most intense lines, 5 to 70 degrees two-theta, in order of rising 2θ:
2θ/deg, I/Imax, h k l
27.19, 47, 0 2 3
30.18, 100, 0 0 4
30.34, 47, 0 4 0
34.73, 18, 1 1 3
37.25, 68, 1 3 2
43.34, 18, 0 4 4
46.66, 19, 1 1 5
51.88, 18, 1 3 5
60.56, 21, 2 4 0
63.05, 23, 0 8 0

Structural model:
```
data_ErPa2TcC4
_chemical_formula_sum 'Er4 Pa8 Tc4 C16'
_symmetry_space_group_name_H-M 'C m c m'
_symmetry_Int_Tables_number 63
_symmetry_space_group_name_Hall '-C 2c 2'
_cell_length_a 3.5757
_cell_length_b 11.7829
_cell_length_c 11.8355
_cell_angle_alpha 90.00
_cell_angle_beta 90.00
_cell_angle_gamma 90.00
loop_
_atom_site_label
_atom_site_type_symbol
_atom_site_fract_x
_atom_site_fract_y
_atom_site_fract_z
Er1 Er 0.0000 0.1250 0.2500
Pa1 Pa 0.0000 0.3677 0.0430
Tc1 Tc 0.0000 0.1396 0.7500
C1 C 0.0000 0.0000 0.0000
C2 C 0.0000 0.2633 0.6292
C3 C 0.0000 0.4401 0.2500
```

***

(4)
Diffraction record for Er5PbC. The powder diffraction line list is theoretical, not measured: it uses a crystal structure in Alexandria, relaxed with PBE and Cu Kα X-rays.
Intensities are scaled so that the largest is 100.

Most intense lines, 5 to 70 degrees two-theta, in order of rising 2θ:
2θ/deg, I/Imax, h k l
29.02, 49, 2 0 2
31.34, 100, 4 0 -2
31.72, 34, 2 2 0
32.48, 29, 3 1 1
32.89, 44, 0 2 2
33.61, 44, 2 2 -2
34.79, 65, 2 0 -4
43.18, 26, 4 2 0
46.69, 14, 0 2 4
58.46, 16, 6 2 -4

Structural model:
```
data_Er5PbC
_chemical_formula_sum 'Er20 Pb4 C4'
_symmetry_space_group_name_H-M 'C 1 2/c 1'
_symmetry_Int_Tables_number 15
_symmetry_space_group_name_Hall '-C 2yc'
_cell_length_a 11.6535
_cell_length_b 6.6090
_cell_length_c 10.3449
_cell_angle_alpha 90.00
_cell_angle_beta 111.62
_cell_angle_gamma 90.00
loop_
_atom_site_label
_atom_site_type_symbol
_atom_site_fract_x
_atom_site_fract_y
_atom_site_fract_z
Er1 Er 0.0000 0.0278 0.2500
Er2 Er 0.1206 0.2999 0.0421
Er3 Er 0.1902 0.1764 0.6175
Pb1 Pb 0.0000 0.4948 0.7500
C1 C 0.0000 0.0000 0.0000
```